Entry 1:
Computed powder XRD pattern
Compound: NbSN
Radiation: Cu Kα X-rays
Structure: a structure optimized by DFT (PBE)
Lines closer than 0.1° are merged.

Most intense lines, 2θ = 10–90°, low angle first:
d 6.122, 2θ 14.47, intensity 20
d 3.098, 2θ 28.82, intensity 94
d 2.540, 2θ 35.34, intensity 83
d 2.330, 2θ 38.64, intensity 100
d 1.955, 2θ 46.46, intensity 32
d 1.796, 2θ 50.84, intensity 42
d 1.554, 2θ 59.49, intensity 24
d 1.422, 2θ 65.63, intensity 39

Cell and atoms:
Lattice parameters (Å, degrees): 3.5922 3.5922 6.1223 90.00 90.00 90.00
Sites, in units of the cell vectors:
Nb 0.2500 0.2500 0.1861
Nb 0.7500 0.7500 0.8139
S 0.2500 0.2500 0.6165
S 0.7500 0.7500 0.3835
N 0.2500 0.7500 0.0000
N 0.7500 0.2500 0.0000

Entry 2:
Computed powder XRD pattern
Compound: ScNbN
Radiation: Cu Kα X-rays
Structure: a structure optimized by DFT (PBE)
Lines closer than 0.1° are merged.

Most intense lines, 2θ = 10–90°, low angle first:
d 5.179, 2θ 17.12, intensity 35
d 2.607, 2θ 34.39, intensity 81
d 2.589, 2θ 34.64, intensity 38
d 2.390, 2θ 37.63, intensity 100
d 2.124, 2θ 42.56, intensity 65
d 1.642, 2θ 56.00, intensity 28
d 1.555, 2θ 59.42, intensity 32
d 1.333, 2θ 70.64, intensity 28

Cell and atoms:
Lattice parameters (Å, degrees): 3.1110 3.1110 10.3572 90.00 90.00 120.00
Sites, in units of the cell vectors:
Sc 0.0000 0.0000 0.0000
Sc 0.0000 0.0000 0.5000
Nb 0.3333 0.6667 0.2474
Nb 0.6667 0.3333 0.7526
N 0.3333 0.6667 0.6278
N 0.6667 0.3333 0.3722

Entry 3:
Computed powder XRD pattern
Compound: Nb5Si3N
Radiation: Cu Kα X-rays
Structure: a structure optimized by DFT (PBE)
Lines closer than 0.1° are merged.

Most intense lines, 2θ = 10–90°, low angle first:
d 3.094, 2θ 28.85, intensity 26
d 2.507, 2θ 35.82, intensity 37
d 2.465, 2θ 36.45, intensity 45
d 2.245, 2θ 40.17, intensity 100
d 2.203, 2θ 40.98, intensity 78
d 2.174, 2θ 41.54, intensity 30
d 1.547, 2θ 59.77, intensity 23
d 1.459, 2θ 63.79, intensity 25

Cell and atoms:
Lattice parameters (Å, degrees): 7.5306 7.5306 5.4313 90.00 90.00 120.00
Sites, in units of the cell vectors:
Nb 0.0000 0.2335 0.2500
Nb 0.0000 0.7665 0.7500
Nb 0.2335 0.0000 0.2500
Nb 0.2335 0.2335 0.7500
Nb 0.3333 0.6667 0.0000
Nb 0.3333 0.6667 0.5000
Nb 0.6667 0.3333 0.0000
Nb 0.6667 0.3333 0.5000
Nb 0.7665 0.0000 0.7500
Nb 0.7665 0.7665 0.2500
Si 0.0000 0.4052 0.7500
Si 0.0000 0.5948 0.2500
Si 0.4052 0.0000 0.7500
Si 0.4052 0.4052 0.2500
Si 0.5948 0.0000 0.2500
Si 0.5948 0.5948 0.7500
N 0.0000 0.0000 0.0000
N 0.0000 0.0000 0.5000

Entry 4:
Computed powder XRD pattern
Compound: Sr3Nb2N4
Radiation: Cu Kα X-rays
Structure: a structure optimized by DFT (PBE)
Lines closer than 0.1° are merged.

Most intense lines, 2θ = 10–90°, low angle first:
d 3.387, 2θ 26.31, intensity 58
d 2.962, 2θ 30.17, intensity 52
d 2.926, 2θ 30.56, intensity 100
d 2.824, 2θ 31.68, intensity 57
d 2.638, 2θ 33.98, intensity 46
d 2.584, 2θ 34.72, intensity 30
d 2.375, 2θ 37.88, intensity 24
d 1.662, 2θ 55.27, intensity 44

Cell and atoms:
Lattice parameters (Å, degrees): 6.1583 10.8042 9.9747 90.00 90.00 90.00
Sites, in units of the cell vectors:
Sr 0.1143 0.1578 0.0790
Sr 0.1143 0.3422 0.4210
Sr 0.2500 0.0000 0.4004
Sr 0.2500 0.5000 0.0996
Sr 0.3857 0.6578 0.4210
Sr 0.3857 0.8422 0.0790
Sr 0.6143 0.1578 0.9210
Sr 0.6143 0.3422 0.5790
Sr 0.7500 0.0000 0.5996
Sr 0.7500 0.5000 0.9004
Sr 0.8857 0.6578 0.5790
Sr 0.8857 0.8422 0.9210
Nb 0.1166 0.2500 0.7500
Nb 0.2500 0.0000 0.7353
Nb 0.2500 0.5000 0.7647
Nb 0.3834 0.7500 0.7500
Nb 0.6166 0.2500 0.2500
Nb 0.7500 0.0000 0.2647
Nb 0.7500 0.5000 0.2353
Nb 0.8834 0.7500 0.2500
N 0.0003 0.0790 0.8370
N 0.0003 0.4210 0.6630
N 0.9997 0.5790 0.3370
N 0.9997 0.9210 0.1630
N 0.1804 0.6527 0.8776
N 0.1804 0.8473 0.6224
N 0.3196 0.1527 0.6224
N 0.3196 0.3473 0.8776
N 0.5003 0.0790 0.1630
N 0.5003 0.4210 0.3370
N 0.4997 0.5790 0.6630
N 0.4997 0.9210 0.8370
N 0.6804 0.6527 0.1224
N 0.6804 0.8473 0.3776
N 0.8196 0.1527 0.3776
N 0.8196 0.3473 0.1224

Entry 5:
Computed powder XRD pattern
Compound: Sr2NbN3
Radiation: Cu Kα X-rays
Structure: a structure optimized by DFT (PBE)
Lines closer than 0.1° are merged.

Most intense lines, 2θ = 10–90°, low angle first:
d 3.377, 2θ 26.39, intensity 37
d 3.161, 2θ 28.23, intensity 39
d 3.044, 2θ 29.34, intensity 100
d 2.885, 2θ 31.00, intensity 71
d 2.832, 2θ 31.59, intensity 80
d 2.770, 2θ 32.32, intensity 26
d 2.678, 2θ 33.45, intensity 32
d 1.690, 2θ 54.27, intensity 26

Cell and atoms:
Lattice parameters (Å, degrees): 6.4226 6.4226 12.6558 91.18 91.18 123.36
Sites, in units of the cell vectors:
Sr 0.0413 0.4441 0.8589
Sr 0.1114 0.3424 0.4225
Sr 0.3424 0.1114 0.9225
Sr 0.4441 0.0413 0.3589
Sr 0.5559 0.9587 0.6411
Sr 0.6576 0.8886 0.0775
Sr 0.8886 0.6576 0.5775
Sr 0.9587 0.5559 0.1411
Nb 0.2660 0.2690 0.6635
Nb 0.2690 0.2660 0.1635
Nb 0.7310 0.7340 0.8365
Nb 0.7340 0.7310 0.3365
N 0.0044 0.9956 0.2500
N 0.1129 0.2999 0.0406
N 0.1752 0.4994 0.6232
N 0.2999 0.1129 0.5406
N 0.4111 0.5889 0.2500
N 0.4994 0.1752 0.1232
N 0.5006 0.8248 0.8768
N 0.5889 0.4111 0.7500
N 0.7001 0.8871 0.4594
N 0.8248 0.5006 0.3768
N 0.8871 0.7001 0.9594
N 0.9956 0.0044 0.7500

Entry 6:
Computed powder XRD pattern
Compound: Sr3Nb2N4
Radiation: Cu Kα X-rays
Structure: a structure optimized by DFT (PBE)
Lines closer than 0.1° are merged.

Most intense lines, 2θ = 10–90°, low angle first:
d 7.961, 2θ 11.11, intensity 100
d 3.383, 2θ 26.34, intensity 69
d 3.133, 2θ 28.49, intensity 45
d 3.088, 2θ 28.91, intensity 73
d 3.077, 2θ 29.01, intensity 75
d 2.974, 2θ 30.04, intensity 29
d 2.911, 2θ 30.71, intensity 59
d 1.837, 2θ 49.61, intensity 27

Cell and atoms:
Lattice parameters (Å, degrees): 9.4436 9.4436 6.1775 107.94 107.94 52.33
Sites, in units of the cell vectors:
Sr 0.0092 0.7096 0.1431
Sr 0.2454 0.7546 0.7500
Sr 0.2904 0.9908 0.3569
Sr 0.7096 0.0092 0.6431
Sr 0.7546 0.2454 0.2500
Sr 0.9908 0.2904 0.8569
Nb 0.1823 0.4006 0.6083
Nb 0.4006 0.1823 0.1083
Nb 0.5994 0.8177 0.8917
Nb 0.8177 0.5994 0.3917
N 0.0044 0.6659 0.5434
N 0.2155 0.3884 0.9349
N 0.3341 0.9956 0.9566
N 0.3884 0.2155 0.4349
N 0.6116 0.7845 0.5651
N 0.6659 0.0044 0.0434
N 0.7845 0.6116 0.0651
N 0.9956 0.3341 0.4566

Entry 7:
Computed powder XRD pattern
Compound: TaNbN2
Radiation: Cu Kα X-rays
Structure: a structure optimized by DFT (PBE)
Lines closer than 0.1° are merged.

Most intense lines, 2θ = 10–90°, low angle first:
d 5.112, 2θ 17.35, intensity 21
d 2.566, 2θ 34.97, intensity 100
d 2.556, 2θ 35.11, intensity 33
d 2.220, 2θ 40.64, intensity 97
d 1.572, 2θ 58.73, intensity 32
d 1.567, 2θ 58.92, intensity 32
d 1.340, 2θ 70.27, intensity 42
d 1.283, 2θ 73.87, intensity 16

Cell and atoms:
Lattice parameters (Å, degrees): 5.4248 5.4248 5.4248 33.69 33.69 33.69
Sites, in units of the cell vectors:
Ta 0.0000 0.0000 0.0000
Nb 0.5000 0.5000 0.5000
N 0.2541 0.2541 0.2541
N 0.7459 0.7459 0.7459

Entry 8:
Computed powder XRD pattern
Compound: NbTeN
Radiation: Cu Kα X-rays
Structure: a structure optimized by DFT (PBE)
Lines closer than 0.1° are merged.

Most intense lines, 2θ = 10–90°, low angle first:
d 2.866, 2θ 31.21, intensity 100
d 2.534, 2θ 35.42, intensity 52
d 2.380, 2θ 37.81, intensity 46
d 2.238, 2θ 40.29, intensity 17
d 1.792, 2θ 50.96, intensity 23
d 1.525, 2θ 60.73, intensity 24
d 1.520, 2θ 60.97, intensity 28
d 1.432, 2θ 65.16, intensity 19

Cell and atoms:
Lattice parameters (Å, degrees): 3.5843 3.5843 9.5461 90.00 90.00 90.00
Sites, in units of the cell vectors:
Nb 0.2500 0.2500 0.1144
Nb 0.7500 0.7500 0.8856
Te 0.2500 0.2500 0.6986
Te 0.7500 0.7500 0.3014
N 0.2500 0.7500 0.0000
N 0.7500 0.2500 0.0000